1.
Computed powder X-ray diffraction pattern of Y2Pd5 for Cu Kα (weighted mean of Kα1 and Kα2), from a cell relaxed with PBE.
Neutral-atom scattering factors, no anomalous dispersion.

Lattice parameters (Å, degrees): 7.0534 12.6851 5.8861 90.00 90.00 90.00
Space group Cccm (No. 66)
Unique sites:
Y 0.1946 0.1024 0.0000 (multiplicity 8)
Pd 0.0000 0.2679 0.2500 (multiplicity 8)
Pd 0.0000 0.5000 0.2500 (multiplicity 4)
Pd 0.2284 0.1263 0.5000 (multiplicity 8)

The 6 most intense peaks (2θ from 10° to 90°), by angle:
33.75°, 2.656 Å, rel. 29, (1 1 2)
38.16°, 2.358 Å, rel. 99, (2 4 0)
39.90°, 2.260 Å, rel. 100, (2 0 2)
41.88°, 2.157 Å, rel. 87, (0 4 2)
68.77°, 1.365 Å, rel. 25, (4 4 2)
76.27°, 1.248 Å, rel. 25, (2 4 4)

2.
Computed powder X-ray diffraction pattern of Y3Pd5 for Cu Kα (weighted mean of Kα1 and Kα2), from a cell relaxed with PBE.
Neutral-atom scattering factors, no anomalous dispersion.

Lattice parameters (Å, degrees): 9.2530 7.1650 9.6793 90.00 90.00 90.00
Space group Cmcm (No. 63)
Unique sites:
Y 0.0000 0.1178 0.2500 (multiplicity 4)
Y 0.2033 0.5000 0.0000 (multiplicity 8)
Pd 0.0000 0.1882 0.5462 (multiplicity 8)
Pd 0.0000 0.4824 0.7500 (multiplicity 4)
Pd 0.2228 0.2194 0.7500 (multiplicity 8)

The 6 most intense peaks (2θ from 10° to 90°), by angle:
36.76°, 2.445 Å, rel. 100, (2 2 2)
37.15°, 2.420 Å, rel. 27, (0 0 4)
38.94°, 2.313 Å, rel. 41, (4 0 0)
42.46°, 2.129 Å, rel. 30, (3 1 3)
54.92°, 1.672 Å, rel. 20, (4 0 4)
66.73°, 1.402 Å, rel. 13, (2 2 6)

3.
Computed powder X-ray diffraction pattern of Y2Pd3 for Cu Kα (weighted mean of Kα1 and Kα2), from a cell relaxed with PBE.
Neutral-atom scattering factors, no anomalous dispersion.

Lattice parameters (Å, degrees): 4.4417 4.4417 19.5313 90.00 90.00 120.00
Space group R-3m (No. 166, hexagonal axes)
Unique sites:
Y 0.0000 0.0000 0.0903 (multiplicity 6)
Pd 0.0000 0.0000 0.3539 (multiplicity 6)
Pd 0.0000 0.0000 0.5000 (multiplicity 3)

The 6 most intense peaks (2θ from 10° to 90°), by angle:
29.56°, 3.022 Å, rel. 36, (1 0 4)
32.67°, 2.741 Å, rel. 47, (0 1 5)
39.92°, 2.259 Å, rel. 81, (1 0 7)
40.62°, 2.221 Å, rel. 100, (1 1 0)
58.27°, 1.584 Å, rel. 26, (0 2 7)
73.44°, 1.289 Å, rel. 26, (2 1 7)

4.
Computed powder X-ray diffraction pattern of Y3Pd2 for Cu Kα (weighted mean of Kα1 and Kα2), from a cell relaxed with PBE.
Neutral-atom scattering factors, no anomalous dispersion.

Lattice parameters (Å, degrees): 8.8056 8.8056 16.5924 90.00 90.00 120.00
Space group R-3 (No. 148, hexagonal axes)
Unique sites:
Y 0.0000 0.0000 0.0000 (multiplicity 3)
Y 0.0000 0.0000 0.2047 (multiplicity 6)
Y 0.0127 0.2494 0.5925 (multiplicity 18)
Pd 0.0212 0.6115 0.5688 (multiplicity 18)

The 6 most intense peaks (2θ from 10° to 90°), by angle:
31.50°, 2.840 Å, rel. 43, (2 1 1)
32.37°, 2.765 Å, rel. 38, (0 0 6)
32.90°, 2.723 Å, rel. 100, (1 2 2)
35.31°, 2.542 Å, rel. 53, (3 0 0)
38.02°, 2.367 Å, rel. 69, (3 -1 4)
38.44°, 2.342 Å, rel. 59, (1 1 6)